Entry 1:
Calculated powder diffraction line list
Compound: Zr3CuC
Radiation: copper Kα
Structure: a crystal structure in Alexandria, relaxed with GGA-PBE
Neutral-atom scattering factors, no anomalous dispersion.

Structural model:
a = 7.4810 Å, b = 7.4810 Å, c = 3.3828 Å
α = 90.00°, β = 90.00°, γ = 108.51°
Sites, in units of the cell vectors:
Zr 0.1803 0.4446 0.5000
Zr 0.1858 0.8142 0.0000
Zr 0.4446 0.1803 0.5000
Zr 0.5554 0.8197 0.5000
Zr 0.8142 0.1858 0.0000
Zr 0.8197 0.5554 0.5000
Cu 0.0000 0.0000 0.5000
Cu 0.5000 0.5000 0.0000
C 0.0000 0.5000 0.0000
C 0.5000 0.0000 0.0000

Peak list (6 most intense, 10° ≤ 2θ ≤ 80°, in order of rising 2θ)
2θ/deg  I_rel
31.6  27
33.5  45
36.1  100
38.1  34
41.6  24
64.2  24

---

Entry 2:
Calculated powder diffraction line list
Compound: Dy2C3
Radiation: copper Kα
Structure: a crystal structure in Alexandria, relaxed with GGA-PBE
Neutral-atom scattering factors, no anomalous dispersion.

Structural model:
a = 7.1328 Å, b = 7.1328 Å, c = 7.1328 Å
α = 109.47°, β = 109.47°, γ = 109.47°
Sites, in units of the cell vectors:
Dy 0.0000 0.3990 0.5000
Dy 0.0000 0.8990 0.5000
Dy 0.1010 0.1010 0.1010
Dy 0.3990 0.5000 0.0000
Dy 0.5000 0.0000 0.3990
Dy 0.5000 0.0000 0.8990
Dy 0.6010 0.6010 0.6010
Dy 0.8990 0.5000 0.0000
C 0.0436 0.7500 0.7936
C 0.2064 0.7500 0.9564
C 0.2500 0.5436 0.2936
C 0.2500 0.7064 0.4564
C 0.2936 0.2500 0.5436
C 0.4564 0.2500 0.7064
C 0.5436 0.2936 0.2500
C 0.7064 0.4564 0.2500
C 0.7500 0.7936 0.0436
C 0.7500 0.9564 0.2064
C 0.7936 0.0436 0.7500
C 0.9564 0.2064 0.7500

Peak list (6 most intense, 10° ≤ 2θ ≤ 80°, in order of rising 2θ)
2θ/deg  I_rel
26.5  48
30.7  100
34.4  98
41.0  50
57.0  65
61.7  29

---

Entry 3:
Calculated powder diffraction line list
Compound: DyEr3C2
Radiation: copper Kα
Structure: a crystal structure in Alexandria, relaxed with GGA-PBE
Neutral-atom scattering factors, no anomalous dispersion.

Structural model:
a = 7.3383 Å, b = 7.3383 Å, c = 7.3383 Å
α = 58.17°, β = 58.17°, γ = 58.17°
Sites, in units of the cell vectors:
Dy 0.2414 0.2414 0.2414
Dy 0.7586 0.7586 0.7586
Er 0.2389 0.7397 0.7397
Er 0.2603 0.2603 0.7611
Er 0.2603 0.7611 0.2603
Er 0.7397 0.2389 0.7397
Er 0.7397 0.7397 0.2389
Er 0.7611 0.2603 0.2603
C 0.0000 0.0000 0.5000
C 0.0000 0.5000 0.0000
C 0.5000 0.0000 0.0000
C 0.5000 0.5000 0.5000

Peak list (6 most intense, 10° ≤ 2θ ≤ 80°, in order of rising 2θ)
2θ/deg  I_rel
29.4  32
30.6  100
35.1  76
49.7  23
51.2  27
60.2  26